Entry 1:
# YCuGe2Rh
Calculated X-ray powder pattern, Cu Kα (weighted mean of Kα1 and Kα2). Input: a GGA-PBE-relaxed structure.

Cell and atoms:
```
YCuGe2Rh
1.0
4.1374 0.0000 0.0000
0.0000 4.1374 0.0000
0.0000 0.0000 10.2880
Y Cu Ge Rh
2 2 4 2
direct
0.0000 0.0000 0.0000
0.5000 0.5000 0.5000
0.0000 0.5000 0.7500
0.5000 0.0000 0.2500
0.0000 0.0000 0.3792
0.0000 0.0000 0.6208
0.5000 0.5000 0.1208
0.5000 0.5000 0.8792
0.0000 0.5000 0.2500
0.5000 0.0000 0.7500
```

Top 10 peaks for 10 to 90 degrees two-theta, by angle:
d (Å)  I/Imax
2.640  55
2.543  100
2.069  63
1.932  32
1.842  23
1.628  25
1.463  20
1.376  17
1.268  21
1.092  15

Entry 2:
# NdB3Rh6
Calculated X-ray powder pattern, Cu Kα (weighted mean of Kα1 and Kα2). Input: a GGA-PBE-relaxed structure.

Cell and atoms:
```
NdB3Rh6
1.0
5.5277 0.0000 0.0000
-0.0020 5.6061 0.0000
-1.6349 -2.7882 4.5952
Nd B Rh
1 3 6
direct
0.0000 0.0000 0.0000
0.0414 0.3389 0.6775
0.0599 0.6657 0.3280
0.5136 0.2292 0.4582
0.3090 0.0555 0.6057
0.3093 0.5509 0.6041
0.3161 0.5520 0.1002
0.7637 0.9447 0.4036
0.7645 0.4599 0.4047
0.7672 0.4547 0.9104
```

Top 10 peaks for 10 to 90 degrees two-theta, by angle:
d (Å)  I/Imax
3.252  43
2.604  55
2.476  51
2.424  100
2.396  84
2.390  85
2.335  71
2.226  33
2.145  36
1.939  50

Entry 3:
# LiAc2Br2O2
Calculated X-ray powder pattern, Cu Kα (weighted mean of Kα1 and Kα2). Input: a GGA-PBE-relaxed structure.

Cell and atoms:
```
LiAc2Br2O2
1.0
4.2683 0.0000 0.0000
-2.1342 3.6965 0.0000
0.0000 0.0000 12.5530
Li Ac Br O
1 2 2 2
direct
0.0000 0.0000 0.0000
0.3333 0.6667 0.6204
0.6667 0.3333 0.3796
0.0000 0.0000 0.2027
0.0000 0.0000 0.7973
0.3333 0.6667 0.4235
0.6667 0.3333 0.5765
```

Top 10 peaks for 10 to 90 degrees two-theta, by angle:
d (Å)  I/Imax
3.546  99
3.185  100
2.770  64
2.392  26
2.134  46
2.104  19
1.821  21
1.773  19
1.765  19
1.626  28

Entry 4:
# CuSb
Calculated X-ray powder pattern, Cu Kα (weighted mean of Kα1 and Kα2). Input: a GGA-PBE-relaxed structure.

Cell and atoms:
```
CuSb
1.0
3.2168 0.0000 0.0000
-0.0001 3.2711 0.0000
-1.0401 -0.0045 8.0033
Cu Sb
2 2
direct
0.2270 0.2498 0.4285
0.7730 0.7502 0.5715
0.3418 0.2508 0.7796
0.6582 0.7492 0.2204
```

Top 10 peaks for 10 to 90 degrees two-theta, by angle:
d (Å)  I/Imax
8.003  60
4.002  37
3.104  34
3.028  60
2.533  45
2.351  47
2.284  100
2.252  42
2.190  53
2.067  86